No. 1
# La2CdRh2
Computed powder XRD pattern, a wavelength of 1.5418 Å. Input: a cell relaxed with GGA-PBE.
Peak positions follow from Bragg's law for the DFT cell and can differ from measured ones.

Structure:
```
data_La2CdRh2
_chemical_formula_sum 'La4 Cd2 Rh4'
_cell_length_a 7.819
_cell_length_b 7.819
_cell_length_c 3.899
_cell_angle_alpha 90.00
_cell_angle_beta 90.00
_cell_angle_gamma 90.00
_symmetry_space_group_name_H-M 'P 1'
_symmetry_Int_Tables_number 1
_symmetry_space_group_name_Hall 'P 1'
loop_
_atom_site_label
_atom_site_fract_x
_atom_site_fract_y
_atom_site_fract_z
La1 0.165 0.335 0.000
La2 0.335 0.835 0.000
La3 0.665 0.165 0.000
La4 0.835 0.665 0.000
Cd1 0.000 0.000 0.500
Cd2 0.500 0.500 0.500
Rh1 0.138 0.638 0.500
Rh2 0.362 0.138 0.500
Rh3 0.638 0.862 0.500
Rh4 0.862 0.362 0.500
```

Main lines, sorted by position (2θ from 10° to 80°):
d [Å], 2θ/deg, I (rel.)
2.762, 32.42, 28
2.603, 34.45, 100
2.473, 36.33, 45
1.950, 46.59, 14
1.531, 60.47, 20
1.361, 69.03, 18

No. 2
# La15Cd2Rh5
Computed powder XRD pattern, a wavelength of 1.5418 Å. Input: a cell relaxed with GGA-PBE.
Peak positions follow from Bragg's law for the DFT cell and can differ from measured ones.

Structure:
```
data_La15Cd2Rh5
_chemical_formula_sum 'La30 Cd4 Rh10'
_cell_length_a 15.962
_cell_length_b 15.962
_cell_length_c 15.962
_cell_angle_alpha 37.22
_cell_angle_beta 37.22
_cell_angle_gamma 37.22
_symmetry_space_group_name_H-M 'P 1'
_symmetry_Int_Tables_number 1
_symmetry_space_group_name_Hall 'P 1'
loop_
_atom_site_label
_atom_site_fract_x
_atom_site_fract_y
_atom_site_fract_z
La1 0.002 0.002 0.002
La2 0.094 0.094 0.488
La3 0.094 0.488 0.094
La4 0.133 0.508 0.508
La5 0.156 0.156 0.156
La6 0.185 0.185 0.562
La7 0.185 0.562 0.185
La8 0.273 0.651 0.651
La9 0.326 0.948 0.948
La10 0.328 0.328 0.708
La11 0.328 0.708 0.328
La12 0.419 0.791 0.791
La13 0.470 0.470 0.847
La14 0.470 0.847 0.470
La15 0.488 0.094 0.094
La16 0.508 0.133 0.508
La17 0.508 0.508 0.133
La18 0.561 0.944 0.944
La19 0.562 0.185 0.185
La20 0.651 0.273 0.651
La21 0.651 0.651 0.273
La22 0.708 0.328 0.328
La23 0.746 0.746 0.746
La24 0.791 0.419 0.791
La25 0.791 0.791 0.419
La26 0.847 0.470 0.470
La27 0.944 0.561 0.944
La28 0.944 0.944 0.561
La29 0.948 0.326 0.948
La30 0.948 0.948 0.326
Cd1 0.145 0.828 0.828
Cd2 0.828 0.145 0.828
Cd3 0.828 0.828 0.145
Cd4 0.875 0.875 0.875
Rh1 0.071 0.636 0.636
Rh2 0.179 0.179 0.750
Rh3 0.179 0.750 0.179
Rh4 0.268 0.268 0.268
Rh5 0.337 0.337 0.895
Rh6 0.337 0.895 0.337
Rh7 0.636 0.071 0.636
Rh8 0.636 0.636 0.071
Rh9 0.750 0.179 0.179
Rh10 0.895 0.337 0.337
```

Main lines, sorted by position (2θ from 10° to 80°):
d [Å], 2θ/deg, I (rel.)
2.954, 30.26, 81
2.861, 31.27, 85
2.734, 32.75, 100
2.578, 34.80, 61
2.547, 35.23, 63
1.699, 53.97, 55

No. 3
# La4CdRu
Computed powder XRD pattern, a wavelength of 1.5418 Å. Input: a cell relaxed with GGA-PBE.
Peak positions follow from Bragg's law for the DFT cell and can differ from measured ones.

Structure:
```
data_La4CdRu
_chemical_formula_sum 'La16 Cd4 Ru4'
_cell_length_a 10.085
_cell_length_b 10.085
_cell_length_c 10.085
_cell_angle_alpha 60.00
_cell_angle_beta 60.00
_cell_angle_gamma 60.00
_symmetry_space_group_name_H-M 'P 1'
_symmetry_Int_Tables_number 1
_symmetry_space_group_name_Hall 'P 1'
loop_
_atom_site_label
_atom_site_fract_x
_atom_site_fract_y
_atom_site_fract_z
La1 0.189 0.189 0.811
La2 0.189 0.811 0.189
La3 0.189 0.811 0.811
La4 0.346 0.346 0.346
La5 0.346 0.346 0.963
La6 0.346 0.963 0.346
La7 0.559 0.559 0.941
La8 0.559 0.941 0.559
La9 0.559 0.941 0.941
La10 0.811 0.189 0.189
La11 0.811 0.189 0.811
La12 0.811 0.811 0.189
La13 0.941 0.559 0.559
La14 0.941 0.559 0.941
La15 0.941 0.941 0.559
La16 0.963 0.346 0.346
Cd1 0.264 0.579 0.579
Cd2 0.579 0.264 0.579
Cd3 0.579 0.579 0.264
Cd4 0.579 0.579 0.579
Ru1 0.137 0.137 0.137
Ru2 0.137 0.137 0.589
Ru3 0.137 0.589 0.137
Ru4 0.589 0.137 0.137
```

Main lines, sorted by position (2θ from 10° to 80°):
d [Å], 2θ/deg, I (rel.)
3.272, 27.25, 24
2.911, 30.71, 55
2.745, 32.62, 100
2.521, 35.61, 34
1.681, 54.60, 50
1.433, 65.07, 15

No. 4
# La6CdSi2S14
Computed powder XRD pattern, a wavelength of 1.5418 Å. Input: a cell relaxed with GGA-PBE.
Peak positions follow from Bragg's law for the DFT cell and can differ from measured ones.

Structure:
```
data_La6CdSi2S14
_chemical_formula_sum 'La6 Cd1 Si2 S14'
_cell_length_a 10.442
_cell_length_b 10.442
_cell_length_c 5.775
_cell_angle_alpha 90.00
_cell_angle_beta 90.00
_cell_angle_gamma 120.00
_symmetry_space_group_name_H-M 'P 1'
_symmetry_Int_Tables_number 1
_symmetry_space_group_name_Hall 'P 1'
loop_
_atom_site_label
_atom_site_fract_x
_atom_site_fract_y
_atom_site_fract_z
La1 0.024 0.568 0.000
La2 0.309 0.098 0.502
La3 0.432 0.456 0.000
La4 0.544 0.976 0.000
La5 0.789 0.691 0.502
La6 0.902 0.211 0.502
Cd1 0.667 0.333 0.260
Si1 0.000 0.000 0.916
Si2 0.333 0.667 0.414
S1 0.000 0.000 0.281
S2 0.074 0.858 0.774
S3 0.142 0.216 0.774
S4 0.192 0.450 0.273
S5 0.259 0.808 0.273
S6 0.333 0.667 0.779
S7 0.414 0.167 0.017
S8 0.499 0.417 0.507
S9 0.550 0.741 0.273
S10 0.583 0.081 0.507
S11 0.752 0.586 0.017
S12 0.784 0.926 0.774
S13 0.833 0.248 0.017
S14 0.919 0.501 0.507
```

Main lines, sorted by position (2θ from 10° to 80°):
d [Å], 2θ/deg, I (rel.)
3.873, 22.96, 51
3.560, 25.01, 100
3.418, 26.07, 39
2.508, 35.80, 61
2.434, 36.93, 44
2.301, 39.16, 57

No. 5
# La2CdSe4
Computed powder XRD pattern, a wavelength of 1.5418 Å. Input: a cell relaxed with GGA-PBE.
Peak positions follow from Bragg's law for the DFT cell and can differ from measured ones.

Structure:
```
data_La2CdSe4
_chemical_formula_sum 'La4 Cd2 Se8'
_cell_length_a 7.874
_cell_length_b 7.874
_cell_length_c 7.874
_cell_angle_alpha 110.89
_cell_angle_beta 110.89
_cell_angle_gamma 106.67
_symmetry_space_group_name_H-M 'P 1'
_symmetry_Int_Tables_number 1
_symmetry_space_group_name_Hall 'P 1'
loop_
_atom_site_label
_atom_site_fract_x
_atom_site_fract_y
_atom_site_fract_z
La1 0.013 0.125 0.388
La2 0.375 0.987 0.112
La3 0.737 0.625 0.612
La4 0.875 0.263 0.888
Cd1 0.250 0.750 0.500
Cd2 0.500 0.500 0.000
Se1 0.005 0.741 0.125
Se2 0.120 0.995 0.736
Se3 0.134 0.509 0.764
Se4 0.259 0.384 0.264
Se5 0.491 0.255 0.625
Se6 0.616 0.880 0.875
Se7 0.630 0.866 0.375
Se8 0.745 0.370 0.236
```

Main lines, sorted by position (2θ from 10° to 80°):
d [Å], 2θ/deg, I (rel.)
2.958, 30.22, 95
2.839, 31.52, 95
2.825, 31.68, 100
2.466, 36.43, 67
2.421, 37.13, 52
2.396, 37.54, 42

No. 6
# La2CdTe4
Computed powder XRD pattern, a wavelength of 1.5418 Å. Input: a cell relaxed with GGA-PBE.
Peak positions follow from Bragg's law for the DFT cell and can differ from measured ones.

Structure:
```
data_La2CdTe4
_chemical_formula_sum 'La4 Cd2 Te8'
_cell_length_a 8.402
_cell_length_b 8.402
_cell_length_c 8.402
_cell_angle_alpha 111.27
_cell_angle_beta 111.27
_cell_angle_gamma 105.92
_symmetry_space_group_name_H-M 'P 1'
_symmetry_Int_Tables_number 1
_symmetry_space_group_name_Hall 'P 1'
loop_
_atom_site_label
_atom_site_fract_x
_atom_site_fract_y
_atom_site_fract_z
La1 0.006 0.125 0.381
La2 0.375 0.994 0.119
La3 0.744 0.625 0.619
La4 0.875 0.256 0.881
Cd1 0.250 0.750 0.500
Cd2 0.500 0.500 0.000
Te1 0.005 0.739 0.126
Te2 0.121 0.995 0.734
Te3 0.137 0.511 0.766
Te4 0.261 0.387 0.266
Te5 0.489 0.255 0.626
Te6 0.613 0.879 0.874
Te7 0.629 0.863 0.374
Te8 0.745 0.371 0.234
```

Main lines, sorted by position (2θ from 10° to 80°):
d [Å], 2θ/deg, I (rel.)
3.179, 28.07, 91
3.018, 29.60, 77
2.999, 29.79, 100
2.641, 33.95, 70
2.580, 34.77, 46
2.546, 35.25, 36

No. 7
# LaTlCd
Computed powder XRD pattern, a wavelength of 1.5418 Å. Input: a cell relaxed with GGA-PBE.
Peak positions follow from Bragg's law for the DFT cell and can differ from measured ones.

Structure:
```
data_LaTlCd
_chemical_formula_sum 'La2 Tl2 Cd2'
_cell_length_a 5.064
_cell_length_b 5.064
_cell_length_c 7.832
_cell_angle_alpha 90.00
_cell_angle_beta 90.00
_cell_angle_gamma 120.00
_symmetry_space_group_name_H-M 'P 1'
_symmetry_Int_Tables_number 1
_symmetry_space_group_name_Hall 'P 1'
loop_
_atom_site_label
_atom_site_fract_x
_atom_site_fract_y
_atom_site_fract_z
La1 0.000 0.000 0.000
La2 0.000 0.000 0.500
Tl1 0.333 0.667 0.250
Tl2 0.667 0.333 0.750
Cd1 0.333 0.667 0.750
Cd2 0.667 0.333 0.250
```

Main lines, sorted by position (2θ from 10° to 80°):
d [Å], 2θ/deg, I (rel.)
2.921, 30.61, 100
2.532, 35.45, 80
2.126, 42.52, 15
1.913, 47.52, 30
1.549, 59.70, 35
1.526, 60.67, 28